1.
Diffraction record for TbThSc. The powder diffraction line list is theoretical, not measured: it uses the GGA-PBE geometry in Alexandria and Cu Kα (weighted mean of Kα1 and Kα2).
Peak positions follow from Bragg's law for the DFT cell and can differ from measured ones.

Crystal structure
Cell lengths 3.517, 3.517, 14.376 Å; angles 90.00, 90.00, 90.00 degrees
Fractional coordinates of all 6 atoms:
Tb (0.000, 0.000, 0.000)
Tb (0.500, 0.500, 0.500)
Th (0.000, 0.000, 0.330)
Th (0.500, 0.500, 0.830)
Sc (0.000, 0.000, 0.673)
Sc (0.500, 0.500, 0.173)

The 8 most intense peaks (5° ≤ 2θ ≤ 70°), by angle:
Position (°2θ), d_spacing, Rel. int.
12.31, 7.188, 27
26.08, 3.417, 22
31.55, 2.836, 100
36.11, 2.487, 35
37.54, 2.396, 16
53.07, 1.726, 23
62.10, 1.495, 29
64.02, 1.454, 13


2.
Diffraction record for NdY4Zn. The powder diffraction line list is theoretical, not measured: it uses the GGA-PBE geometry in Alexandria and Cu Kα (weighted mean of Kα1 and Kα2).
Peak positions follow from Bragg's law for the DFT cell and can differ from measured ones.

Crystal structure
Cell lengths 8.222, 8.222, 6.230 Å; angles 100.38, 100.38, 114.35 degrees
Fractional coordinates of all 12 atoms:
Nd (0.113, 0.887, 0.750)
Nd (0.887, 0.113, 0.250)
Y (0.125, 0.317, 0.856)
Y (0.214, 0.577, 0.439)
Y (0.317, 0.125, 0.356)
Y (0.423, 0.786, 0.061)
Y (0.577, 0.214, 0.939)
Y (0.683, 0.875, 0.644)
Y (0.786, 0.423, 0.561)
Y (0.875, 0.683, 0.144)
Zn (0.499, 0.501, 0.250)
Zn (0.501, 0.499, 0.750)

The 8 most intense peaks (5° ≤ 2θ ≤ 70°), by angle:
Position (°2θ), d_spacing, Rel. int.
28.75, 3.105, 44
29.40, 3.038, 47
31.13, 2.873, 74
32.71, 2.738, 100
33.83, 2.650, 29
34.15, 2.625, 58
34.77, 2.580, 58
51.14, 1.786, 29


3.
Diffraction record for Tb8NiSb2. The powder diffraction line list is theoretical, not measured: it uses the GGA-PBE geometry in Alexandria and Cu Kα (weighted mean of Kα1 and Kα2).
Peak positions follow from Bragg's law for the DFT cell and can differ from measured ones.

Crystal structure
Cell lengths 9.588, 9.588, 7.366 Å; angles 97.27, 97.27, 27.82 degrees
Fractional coordinates of all 11 atoms:
Tb (0.003, 0.003, 0.281)
Tb (0.214, 0.214, 0.849)
Tb (0.357, 0.357, 0.465)
Tb (0.405, 0.405, 0.983)
Tb (0.595, 0.595, 0.017)
Tb (0.643, 0.643, 0.535)
Tb (0.786, 0.786, 0.151)
Tb (0.997, 0.997, 0.719)
Ni (0.500, 0.500, 0.500)
Sb (0.183, 0.183, 0.273)
Sb (0.817, 0.817, 0.727)

The 8 most intense peaks (5° ≤ 2θ ≤ 70°), by angle:
Position (°2θ), d_spacing, Rel. int.
30.02, 2.977, 9
31.09, 2.876, 100
33.20, 2.699, 17
34.61, 2.592, 10
35.63, 2.520, 10
39.08, 2.305, 21
58.37, 1.581, 10
65.87, 1.418, 12


4.
Diffraction record for Tb2PmPaSe4. The powder diffraction line list is theoretical, not measured: it uses the GGA-PBE geometry in Alexandria and Cu Kα (weighted mean of Kα1 and Kα2).
Peak positions follow from Bragg's law for the DFT cell and can differ from measured ones.

Crystal structure
Cell lengths 7.113, 4.068, 7.182 Å; angles 90.00, 108.89, 90.00 degrees
Fractional coordinates of all 8 atoms:
Tb (0.000, 0.000, 0.000)
Tb (0.500, 0.500, 0.000)
Pm (0.000, 0.500, 0.500)
Pa (0.500, 0.000, 0.500)
Se (0.251, 0.500, 0.246)
Se (0.256, 0.000, 0.756)
Se (0.744, 0.000, 0.244)
Se (0.749, 0.500, 0.754)

The 8 most intense peaks (5° ≤ 2θ ≤ 70°), by angle:
Position (°2θ), d_spacing, Rel. int.
26.74, 3.333, 12
30.75, 2.907, 100
43.55, 2.078, 13
43.88, 2.063, 25
44.21, 2.048, 25
44.54, 2.034, 12
55.10, 1.667, 13
64.05, 1.454, 12


5.
Diffraction record for AcPmNdSm2. The powder diffraction line list is theoretical, not measured: it uses the GGA-PBE geometry in Alexandria and Cu Kα (weighted mean of Kα1 and Kα2).
Peak positions follow from Bragg's law for the DFT cell and can differ from measured ones.

Crystal structure
Cell lengths 6.515, 5.983, 9.932 Å; angles 90.00, 108.88, 90.00 degrees
Fractional coordinates of all 10 atoms:
Ac (0.067, 0.250, 0.300)
Ac (0.933, 0.750, 0.700)
Pm (0.138, 0.750, 0.097)
Pm (0.862, 0.250, 0.903)
Nd (0.337, 0.750, 0.502)
Nd (0.663, 0.250, 0.498)
Sm (0.275, 0.250, 0.706)
Sm (0.464, 0.250, 0.096)
Sm (0.536, 0.750, 0.904)
Sm (0.725, 0.750, 0.294)

The 8 most intense peaks (5° ≤ 2θ ≤ 70°), by angle:
Position (°2θ), d_spacing, Rel. int.
27.36, 3.260, 15
29.87, 2.992, 25
31.27, 2.860, 100
40.97, 2.203, 16
48.47, 1.878, 13
53.91, 1.701, 22
57.98, 1.591, 16
58.71, 1.573, 11


6.
Diffraction record for Sm5Ho2. The powder diffraction line list is theoretical, not measured: it uses the GGA-PBE geometry in Alexandria and Cu Kα (weighted mean of Kα1 and Kα2).
Peak positions follow from Bragg's law for the DFT cell and can differ from measured ones.

Crystal structure
Cell lengths 15.698, 3.593, 8.812 Å; angles 90.00, 112.12, 90.00 degrees
Fractional coordinates of all 14 atoms:
Sm (0.000, 0.000, 0.000)
Sm (0.073, 0.500, 0.716)
Sm (0.143, 0.000, 0.428)
Sm (0.357, 0.500, 0.572)
Sm (0.427, 0.000, 0.284)
Sm (0.500, 0.500, 0.000)
Sm (0.573, 0.000, 0.716)
Sm (0.643, 0.500, 0.428)
Sm (0.857, 0.000, 0.572)
Sm (0.927, 0.500, 0.284)
Ho (0.214, 0.500, 0.141)
Ho (0.286, 0.000, 0.859)
Ho (0.714, 0.000, 0.141)
Ho (0.786, 0.500, 0.859)

The 7 most intense peaks (5° ≤ 2θ ≤ 70°), by angle:
Position (°2θ), d_spacing, Rel. int.
30.44, 2.937, 100
35.23, 2.547, 17
35.32, 2.541, 34
50.77, 1.798, 36
60.28, 1.535, 14
60.40, 1.533, 29
63.34, 1.468, 12


7.
Diffraction record for Sr2Cu2SnPt5. The powder diffraction line list is theoretical, not measured: it uses the GGA-PBE geometry in Alexandria and Cu Kα (weighted mean of Kα1 and Kα2).
Peak positions follow from Bragg's law for the DFT cell and can differ from measured ones.

Crystal structure
Cell lengths 9.745, 9.745, 3.922 Å; angles 90.00, 90.00, 90.00 degrees
Fractional coordinates of all 20 atoms:
Sr (0.176, 0.324, 0.000)
Sr (0.324, 0.824, 0.000)
Sr (0.676, 0.176, 0.000)
Sr (0.824, 0.676, 0.000)
Cu (0.122, 0.622, 0.000)
Cu (0.378, 0.122, 0.000)
Cu (0.622, 0.878, 0.000)
Cu (0.878, 0.378, 0.000)
Sn (0.000, 0.000, 0.000)
Sn (0.500, 0.500, 0.000)
Pt (0.000, 0.500, 0.500)
Pt (0.064, 0.788, 0.500)
Pt (0.212, 0.064, 0.500)
Pt (0.288, 0.564, 0.500)
Pt (0.436, 0.288, 0.500)
Pt (0.500, 0.000, 0.500)
Pt (0.564, 0.712, 0.500)
Pt (0.712, 0.436, 0.500)
Pt (0.788, 0.936, 0.500)
Pt (0.936, 0.212, 0.500)

The 8 most intense peaks (5° ≤ 2θ ≤ 70°), by angle:
Position (°2θ), d_spacing, Rel. int.
22.67, 3.922, 27
34.65, 2.588, 30
37.10, 2.423, 100
38.08, 2.363, 46
40.54, 2.225, 46
41.44, 2.179, 21
46.30, 1.961, 30
61.44, 1.509, 23


8.
Diffraction record for Na2La4Bi3O2. The powder diffraction line list is theoretical, not measured: it uses the GGA-PBE geometry in Alexandria and Cu Kα (weighted mean of Kα1 and Kα2).
Peak positions follow from Bragg's law for the DFT cell and can differ from measured ones.

Crystal structure
Cell lengths 13.686, 13.686, 13.686 Å; angles 158.95, 158.95, 29.94 degrees
Fractional coordinates of all 11 atoms:
Na (0.202, 0.202, 0.000)
Na (0.798, 0.798, 0.000)
La (0.090, 0.590, 0.500)
La (0.410, 0.910, 0.500)
La (0.590, 0.090, 0.500)
La (0.910, 0.410, 0.500)
Bi (0.326, 0.326, 0.000)
Bi (0.500, 0.500, 0.000)
Bi (0.674, 0.674, 0.000)
O (0.094, 0.094, 0.000)
O (0.906, 0.906, 0.000)

The 8 most intense peaks (5° ≤ 2θ ≤ 70°), by angle:
Position (°2θ), d_spacing, Rel. int.
6.69, 13.222, 22
18.06, 4.913, 40
24.50, 3.633, 37
28.63, 3.118, 19
32.47, 2.758, 100
35.92, 2.500, 48
55.60, 1.653, 19
62.40, 1.488, 32